Entry 1:
For CrH, a PBE-relaxed structure gives the simulated X-ray diffraction stick pattern in this record (Cu Ka).
No peak broadening, texture or thermal motion is included.

The 10 most intense peaks (15 to 90 degrees two-theta), sorted by position:
- 2θ = 37.7°, I = 27, (1 0 0)
- 2θ = 40.1°, I = 28, (0 0 2)
- 2θ = 42.9°, I = 100, (1 0 1)
- 2θ = 56.2°, I = 14, (1 0 2)
- 2θ = 68.0°, I = 15, (1 1 0)
- 2θ = 74.7°, I = 17, (1 0 3)
- 2θ = 80.4°, I = 2, (2 0 0)
- 2θ = 81.9°, I = 17, (1 1 2)
- 2θ = 83.8°, I = 12, (2 0 1)
- 2θ = 86.5°, I = 2, (0 0 4)

Atomic structure:
abc: 2.7580 2.7580 4.5011
angles: 90.00 90.00 120.00
Atoms (fractional coordinates):
Cr: 0.3333 0.6667 0.0000
Cr: 0.6667 0.3333 0.5000
H: 0.3333 0.6667 0.6267
H: 0.6667 0.3333 0.1267

***

Entry 2:
For CrH, a PBE-relaxed structure gives the simulated X-ray diffraction stick pattern in this record (Cu Ka).
No peak broadening, texture or thermal motion is included.

The 4 most intense peaks (15 to 90 degrees two-theta), sorted by position:
- 2θ = 38.7°, I = 100, (1 0 0)
- 2θ = 55.9°, I = 48, (1 0 2)
- 2θ = 70.1°, I = 11, (1 1 0)
- 2θ = 83.1°, I = 22, (0 0 4)

Atomic structure:
abc: 2.6852 2.6852 4.6501
angles: 90.00 90.00 120.00
Atoms (fractional coordinates):
Cr: 0.0000 0.0000 0.0000
Cr: 0.0000 0.0000 0.5000
H: 0.3333 0.6667 0.2500
H: 0.6667 0.3333 0.7500

***

Entry 3:
For CrH3, a PBE-relaxed structure gives the simulated X-ray diffraction stick pattern in this record (Cu Ka).
No peak broadening, texture or thermal motion is included.

The 6 most intense peaks (15 to 90 degrees two-theta), sorted by position:
- 2θ = 32.4°, I = 100, (1 0 0)
- 2θ = 46.5°, I = 68, (1 1 0)
- 2θ = 57.8°, I = 25, (1 1 1)
- 2θ = 67.8°, I = 11, (2 0 0)
- 2θ = 77.2°, I = 26, (2 1 0)
- 2θ = 86.2°, I = 19, (2 1 1)

Atomic structure:
abc: 2.7637 2.7637 2.7637
angles: 90.00 90.00 90.00
Atoms (fractional coordinates):
Cr: 0.0000 0.0000 0.0000
H: 0.0000 0.5000 0.5000
H: 0.5000 0.0000 0.5000
H: 0.5000 0.5000 0.0000

***

Entry 4:
For HfCrP, a PBE-relaxed structure gives the simulated X-ray diffraction stick pattern in this record (Cu Ka).
No peak broadening, texture or thermal motion is included.

The 10 most intense peaks (15 to 90 degrees two-theta), sorted by position:
- 2θ = 18.3°, I = 19, (1 0 1)
- 2θ = 27.4°, I = 50, (0 1 1)
- 2θ = 28.1°, I = 28, (2 0 0)
- 2θ = 37.3°, I = 100, (1 1 2)
- 2θ = 37.7°, I = 28, (2 1 0)
- 2θ = 38.5°, I = 58, (1 0 3)
- 2θ = 39.6°, I = 78, (2 1 1)
- 2θ = 49.4°, I = 17, (3 0 2)
- 2θ = 50.6°, I = 25, (0 2 0)
- 2θ = 65.3°, I = 30, (1 2 3)

Atomic structure:
abc: 6.3506 3.6090 7.5470
angles: 90.00 90.00 90.00
Atoms (fractional coordinates):
Hf: 0.0375 0.2500 0.1714
Hf: 0.4625 0.7500 0.6714
Hf: 0.5375 0.2500 0.3286
Hf: 0.9625 0.7500 0.8286
Cr: 0.1276 0.2500 0.5517
Cr: 0.3724 0.7500 0.0517
Cr: 0.6276 0.2500 0.9483
Cr: 0.8724 0.7500 0.4483
P: 0.2374 0.7500 0.3606
P: 0.2626 0.2500 0.8606
P: 0.7374 0.7500 0.1394
P: 0.7626 0.2500 0.6394

***

Repeat the fourth record exactly.
For HfCrP, a PBE-relaxed structure gives the simulated X-ray diffraction stick pattern in this record (Cu Ka).
No peak broadening, texture or thermal motion is included.

The 10 most intense peaks (15 to 90 degrees two-theta), sorted by position:
- 2θ = 18.3°, I = 19, (1 0 1)
- 2θ = 27.4°, I = 50, (0 1 1)
- 2θ = 28.1°, I = 28, (2 0 0)
- 2θ = 37.3°, I = 100, (1 1 2)
- 2θ = 37.7°, I = 28, (2 1 0)
- 2θ = 38.5°, I = 58, (1 0 3)
- 2θ = 39.6°, I = 78, (2 1 1)
- 2θ = 49.4°, I = 17, (3 0 2)
- 2θ = 50.6°, I = 25, (0 2 0)
- 2θ = 65.3°, I = 30, (1 2 3)

Atomic structure:
abc: 6.3506 3.6090 7.5470
angles: 90.00 90.00 90.00
Atoms (fractional coordinates):
Hf: 0.0375 0.2500 0.1714
Hf: 0.4625 0.7500 0.6714
Hf: 0.5375 0.2500 0.3286
Hf: 0.9625 0.7500 0.8286
Cr: 0.1276 0.2500 0.5517
Cr: 0.3724 0.7500 0.0517
Cr: 0.6276 0.2500 0.9483
Cr: 0.8724 0.7500 0.4483
P: 0.2374 0.7500 0.3606
P: 0.2626 0.2500 0.8606
P: 0.7374 0.7500 0.1394
P: 0.7626 0.2500 0.6394

***

What did the first record say?
For CrH, a PBE-relaxed structure gives the simulated X-ray diffraction stick pattern in this record (Cu Ka).
No peak broadening, texture or thermal motion is included.

The 10 most intense peaks (15 to 90 degrees two-theta), sorted by position:
- 2θ = 37.7°, I = 27, (1 0 0)
- 2θ = 40.1°, I = 28, (0 0 2)
- 2θ = 42.9°, I = 100, (1 0 1)
- 2θ = 56.2°, I = 14, (1 0 2)
- 2θ = 68.0°, I = 15, (1 1 0)
- 2θ = 74.7°, I = 17, (1 0 3)
- 2θ = 80.4°, I = 2, (2 0 0)
- 2θ = 81.9°, I = 17, (1 1 2)
- 2θ = 83.8°, I = 12, (2 0 1)
- 2θ = 86.5°, I = 2, (0 0 4)

Atomic structure:
abc: 2.7580 2.7580 4.5011
angles: 90.00 90.00 120.00
Atoms (fractional coordinates):
Cr: 0.3333 0.6667 0.0000
Cr: 0.6667 0.3333 0.5000
H: 0.3333 0.6667 0.6267
H: 0.6667 0.3333 0.1267